[1]
TmBiPO: calculated powder diffraction line list (Cu Kα (λ = 1.5418 Å)), based on the PBE geometry in OQMD.

Largest 8 diffraction maxima, sorted by position, 10° ≤ 2θ ≤ 90°:
2theta  Rel. int.  index
25.48  83  1 1 0
26.52  100  0 2 1
29.76  64  1 1 1
30.49  61  0 0 2
40.15  51  1 1 2
43.37  35  1 3 1
54.81  28  2 2 1
57.10  21  2 0 2

Crystal structure
a b c (Å): 3.8633 8.2052 5.8631
angles (deg): 90.00 90.00 90.00
Element x y z (fractional)
1 Tm 0.0000 0.1569 0.0000
2 Tm 0.0000 0.8431 0.5000
3 Bi 0.5000 0.4062 0.5129
4 Bi 0.5000 0.5938 0.0129
5 P 0.0000 0.1791 0.5002
6 P 0.0000 0.8209 0.0002
7 O 0.5000 0.2501 0.9978
8 O 0.5000 0.7499 0.4978


[2]
Zn2BiPO6: calculated powder diffraction line list (Cu Kα (λ = 1.5418 Å)), based on the PBE geometry in OQMD.

Largest 8 diffraction maxima, sorted by position, 10° ≤ 2θ ≤ 90°:
2theta  Rel. int.  index
13.55  44  1 0 1
21.63  26  1 1 1
30.49  82  3 1 1
32.22  100  2 1 2
33.92  26  0 2 0
49.68  27  1 2 3
52.15  25  5 0 3
58.54  26  3 3 1

Crystal structure
a b c (Å): 11.8382 5.2859 7.8333
angles (deg): 90.00 90.00 90.00
Element x y z (fractional)
1 Zn 0.0904 0.2500 0.1986
2 Zn 0.1020 0.2500 0.8043
3 Zn 0.3980 0.7500 0.3043
4 Zn 0.4096 0.7500 0.6986
5 Zn 0.5904 0.2500 0.3014
6 Zn 0.6020 0.2500 0.6957
7 Zn 0.8980 0.7500 0.1957
8 Zn 0.9096 0.7500 0.8014
9 Bi 0.1021 0.7500 0.4862
10 Bi 0.3979 0.2500 0.9862
11 Bi 0.6021 0.7500 0.0138
12 Bi 0.8979 0.2500 0.5138
13 P 0.1969 0.7500 0.0251
14 P 0.3031 0.2500 0.5251
15 P 0.6969 0.7500 0.4749
16 P 0.8031 0.2500 0.9749
17 O 0.0061 0.0024 0.6717
18 O 0.0061 0.4976 0.6717
19 O 0.1237 0.5063 0.0042
20 O 0.1237 0.9937 0.0042
21 O 0.2066 0.2500 0.3948
22 O 0.2417 0.7500 0.2106
23 O 0.2583 0.2500 0.7106
24 O 0.2934 0.7500 0.8948
25 O 0.3763 0.0063 0.5042
26 O 0.3763 0.4937 0.5042
27 O 0.4939 0.5024 0.1717
28 O 0.4939 0.9976 0.1717
29 O 0.5061 0.0024 0.8283
30 O 0.5061 0.4976 0.8283
31 O 0.6237 0.5063 0.4958
32 O 0.6237 0.9937 0.4958
33 O 0.7066 0.2500 0.1052
34 O 0.7417 0.7500 0.2894
35 O 0.7583 0.2500 0.7894
36 O 0.7934 0.7500 0.6052
37 O 0.8763 0.0063 0.9958
38 O 0.8763 0.4937 0.9958
39 O 0.9939 0.5024 0.3283
40 O 0.9939 0.9976 0.3283


[3]
SmBiPb2O6: calculated powder diffraction line list (Cu Kα (λ = 1.5418 Å)), based on the PBE geometry in OQMD.

Largest 8 diffraction maxima, sorted by position, 10° ≤ 2θ ≤ 90°:
2theta  Rel. int.  index
25.34  100  1 -1 1
26.46  58  -1 1 1
27.09  91  1 1 0
30.58  56  0 0 2
35.76  41  0 2 -1
39.05  34  2 0 1
39.18  39  1 1 -2
43.35  32  1 1 2

Crystal structure
a b c (Å): 5.2984 5.4889 5.8814
angles (deg): 95.54 91.33 104.34
Element x y z (fractional)
1 Sm 0.0000 0.0000 0.0000
2 Bi 0.5000 0.5000 0.0000
3 Pb 0.3032 0.7059 0.4576
4 Pb 0.6968 0.2941 0.5424
5 O 0.2414 0.7288 0.0532
6 O 0.2760 0.2372 0.7351
7 O 0.3018 0.3018 0.2694
8 O 0.6982 0.6982 0.7306
9 O 0.7240 0.7628 0.2649
10 O 0.7586 0.2712 0.9468


[4]
Bi2PtO4: calculated powder diffraction line list (Cu Kα (λ = 1.5418 Å)), based on the PBE geometry in OQMD.

Largest 8 diffraction maxima, sorted by position, 10° ≤ 2θ ≤ 90°:
2theta  Rel. int.  index
27.59  100  2 1 1
29.53  30  0 0 2
33.11  66  3 1 0
36.39  26  2 0 2
46.25  33  4 1 1
51.24  23  2 1 3
54.71  25  3 3 2
63.39  18  5 3 0

Crystal structure
a b c (Å): 8.5581 8.5581 6.0447
angles (deg): 90.00 90.00 90.00
Element x y z (fractional)
1 Bi 0.0819 0.5819 0.2500
2 Bi 0.0819 0.9181 0.7500
3 Bi 0.4181 0.5819 0.7500
4 Bi 0.4181 0.9181 0.2500
5 Bi 0.5819 0.0819 0.7500
6 Bi 0.5819 0.4181 0.2500
7 Bi 0.9181 0.0819 0.2500
8 Bi 0.9181 0.4181 0.7500
9 Pt 0.2500 0.2500 0.0830
10 Pt 0.2500 0.2500 0.5830
11 Pt 0.7500 0.7500 0.4170
12 Pt 0.7500 0.7500 0.9170
13 O 0.0344 0.1468 0.5915
14 O 0.0344 0.3532 0.0915
15 O 0.1468 0.0344 0.0915
16 O 0.1468 0.4656 0.5915
17 O 0.3532 0.0344 0.5915
18 O 0.3532 0.4656 0.0915
19 O 0.4656 0.1468 0.0915
20 O 0.4656 0.3532 0.5915
21 O 0.5344 0.6468 0.4085
22 O 0.5344 0.8532 0.9085
23 O 0.6468 0.5344 0.9085
24 O 0.6468 0.9656 0.4085
25 O 0.8532 0.5344 0.4085
26 O 0.8532 0.9656 0.9085
27 O 0.9656 0.6468 0.9085
28 O 0.9656 0.8532 0.4085


[5]
TmBiSO2: calculated powder diffraction line list (Cu Kα (λ = 1.5418 Å)), based on the PBE geometry in OQMD.

Largest 8 diffraction maxima, sorted by position, 10° ≤ 2θ ≤ 90°:
2theta  Rel. int.  index
26.59  24  0 0 2
26.88  21  1 0 0
30.06  100  1 0 1
38.17  29  0 1 2
47.48  29  1 1 0
49.16  25  1 0 3
55.24  20  1 1 2
57.22  17  0 2 1

Crystal structure
a b c (Å): 3.8300 3.8300 6.7050
angles (deg): 90.00 90.00 120.00
Element x y z (fractional)
1 Tm 0.0000 0.0000 0.0000
2 Bi 0.6667 0.3333 0.4410
3 S 0.3333 0.6667 0.7319
4 O 0.0000 0.0000 0.3318
5 O 0.6667 0.3333 0.0800


[6]
ZnBiSbO: calculated powder diffraction line list (Cu Kα (λ = 1.5418 Å)), based on the PBE geometry in OQMD.

Largest 8 diffraction maxima, sorted by position, 10° ≤ 2θ ≤ 90°:
2theta  Rel. int.  index
18.47  21  2 2 0
28.64  31  1 6 0
29.36  46  1 2 1
32.44  41  4 0 0
36.42  100  2 4 1
36.90  37  0 8 0
50.41  20  5 2 1
60.47  25  6 4 1

Crystal structure
a b c (Å): 11.0401 19.4919 3.3452
angles (deg): 90.00 90.00 90.00
Element x y z (fractional)
1 Zn 0.0537 0.0905 0.0000
2 Zn 0.0581 0.6088 0.0000
3 Zn 0.4419 0.1088 0.0000
4 Zn 0.4463 0.5905 0.0000
5 Zn 0.5537 0.4095 0.0000
6 Zn 0.5581 0.8912 0.0000
7 Zn 0.9419 0.3912 0.0000
8 Zn 0.9463 0.9095 0.0000
9 Bi 0.0052 0.2417 0.5000
10 Bi 0.2475 0.3807 0.5000
11 Bi 0.2525 0.8807 0.5000
12 Bi 0.4948 0.7417 0.5000
13 Bi 0.5052 0.2583 0.5000
14 Bi 0.7475 0.1193 0.5000
15 Bi 0.7525 0.6193 0.5000
16 Bi 0.9948 0.7583 0.5000
17 Sb 0.2420 0.5227 0.0000
18 Sb 0.2435 0.7222 0.0000
19 Sb 0.2565 0.2222 0.0000
20 Sb 0.2580 0.0227 0.0000
21 Sb 0.7420 0.9773 0.0000
22 Sb 0.7435 0.7778 0.0000
23 Sb 0.7565 0.2778 0.0000
24 Sb 0.7580 0.4773 0.0000
25 O 0.0301 0.8832 0.5000
26 O 0.0314 0.3692 0.5000
27 O 0.4686 0.8692 0.5000
28 O 0.4699 0.3832 0.5000
29 O 0.5301 0.6168 0.5000
30 O 0.5314 0.1308 0.5000
31 O 0.9686 0.6308 0.5000
32 O 0.9699 0.1168 0.5000